Record 1
This entry pairs a crystal structure of BaCrSn3 with its computed powder XRD pattern. Radiation: a wavelength of 1.5418 Å. Structure: a structure optimized by DFT (PBE).
No peak broadening, texture or thermal motion is included.

Unit cell a=5.0422 b=5.0422 c=6.5469 alpha=112.63 beta=112.63 gamma=89.96
Fractional coordinates of all 5 atoms:
Ba 0.0000 0.0000 0.0000
Cr 0.6792 0.6792 0.3591
Sn 0.2437 0.7437 0.4881
Sn 0.4496 0.4496 0.8986
Sn 0.7437 0.2437 0.4881

Largest 6 diffraction maxima, by angle, 10 to 90 degrees two-theta:
d 2.991, intensity 100.0; d 2.747, intensity 20.6; d 2.521, intensity 49.4; d 1.857, intensity 26.5; d 1.783, intensity 17.5; d 1.531, intensity 28.5

=====

Record 2
This entry pairs a crystal structure of Hf6FeHg3 with its computed powder XRD pattern. Radiation: a wavelength of 1.5418 Å. Structure: a structure optimized by DFT (PBE).
No peak broadening, texture or thermal motion is included.

Unit cell a=6.1314 b=6.1314 c=6.8711 alpha=102.01 beta=102.01 gamma=62.54
Fractional coordinates of all 10 atoms:
Hf 0.1356 0.6373 0.6521
Hf 0.3408 0.3408 0.1607
Hf 0.3627 0.8644 0.3479
Hf 0.6373 0.1356 0.6521
Hf 0.6592 0.6592 0.8393
Hf 0.8644 0.3627 0.3479
Fe 0.5000 0.5000 0.5000
Hg 0.0000 0.0000 0.0000
Hg 0.1724 0.1724 0.7387
Hg 0.8276 0.8276 0.2613

Largest 6 diffraction maxima, by angle, 10 to 90 degrees two-theta:
d 2.872, intensity 47.7; d 2.621, intensity 79.9; d 2.594, intensity 50.7; d 2.520, intensity 66.8; d 2.395, intensity 100.0; d 2.244, intensity 64.1

=====

Record 3
This entry pairs a crystal structure of Th2Ga5Au3 with its computed powder XRD pattern. Radiation: a wavelength of 1.5418 Å. Structure: a structure optimized by DFT (PBE).
No peak broadening, texture or thermal motion is included.

Unit cell a=8.7084 b=8.7084 c=8.7084 alpha=104.98 beta=89.87 gamma=138.06
Fractional coordinates of all 20 atoms:
Th 0.1271 0.2364 0.3635
Th 0.3729 0.7364 0.1092
Th 0.6271 0.2636 0.8908
Th 0.8729 0.7636 0.6365
Ga 0.0183 0.7500 0.2683
Ga 0.1177 0.6465 0.7642
Ga 0.2500 0.2500 0.0000
Ga 0.3823 0.1465 0.5288
Ga 0.4817 0.7500 0.7317
Ga 0.5183 0.2500 0.2683
Ga 0.6177 0.8535 0.4712
Ga 0.7500 0.7500 0.0000
Ga 0.8823 0.3535 0.2358
Ga 0.9817 0.2500 0.7317
Au 0.1341 0.8811 0.0152
Au 0.2500 0.7500 0.5000
Au 0.3659 0.3811 0.7470
Au 0.6341 0.6189 0.2530
Au 0.7500 0.2500 0.5000
Au 0.8659 0.1189 0.9848

Largest 6 diffraction maxima, by angle, 10 to 90 degrees two-theta:
d 2.752, intensity 100.0; d 2.687, intensity 57.2; d 2.665, intensity 52.8; d 2.192, intensity 80.0; d 1.909, intensity 34.3; d 1.720, intensity 25.5

=====

Record 4
This entry pairs a crystal structure of Pm6Nd2Mg with its computed powder XRD pattern. Radiation: a wavelength of 1.5418 Å. Structure: a structure optimized by DFT (PBE).
No peak broadening, texture or thermal motion is included.

Unit cell a=10.8136 b=10.8136 c=5.1451 alpha=90.00 beta=90.00 gamma=90.00
Fractional coordinates of all 18 atoms:
Pm 0.0005 0.3324 0.0000
Pm 0.1663 0.1663 0.5000
Pm 0.1676 0.5005 0.5000
Pm 0.3324 0.0005 0.0000
Pm 0.3337 0.6663 0.0000
Pm 0.4995 0.8324 0.5000
Pm 0.5005 0.1676 0.5000
Pm 0.6663 0.3337 0.0000
Pm 0.6676 0.9995 0.0000
Pm 0.8324 0.4995 0.5000
Pm 0.8337 0.8337 0.5000
Pm 0.9995 0.6676 0.0000
Nd 0.1652 0.8348 0.5000
Nd 0.3348 0.3348 0.0000
Nd 0.6652 0.6652 0.0000
Nd 0.8348 0.1652 0.5000
Mg 0.0000 0.0000 0.0000
Mg 0.5000 0.5000 0.5000

Largest 6 diffraction maxima, by angle, 10 to 90 degrees two-theta:
d 2.952, intensity 100.0; d 2.573, intensity 17.2; d 2.549, intensity 33.4; d 1.811, intensity 24.2; d 1.549, intensity 14.5; d 1.538, intensity 28.3

=====

Record 5
This entry pairs a crystal structure of La3BCl3 with its computed powder XRD pattern. Radiation: a wavelength of 1.5418 Å. Structure: a structure optimized by DFT (PBE).
No peak broadening, texture or thermal motion is included.

Unit cell a=10.1236 b=10.1236 c=10.1236 alpha=109.47 beta=109.47 gamma=109.47
Fractional coordinates of all 28 atoms:
La 0.0132 0.0263 0.2632
La 0.0132 0.4868 0.7500
La 0.0263 0.2632 0.0132
La 0.2368 0.2632 0.7500
La 0.2368 0.4737 0.4868
La 0.2632 0.0132 0.0263
La 0.2632 0.7500 0.2368
La 0.4737 0.4868 0.2368
La 0.4868 0.2368 0.4737
La 0.4868 0.7500 0.0132
La 0.7500 0.0132 0.4868
La 0.7500 0.2368 0.2632
B 0.0000 0.2500 0.5000
B 0.2500 0.2500 0.2500
B 0.2500 0.5000 0.0000
B 0.5000 0.0000 0.2500
Cl 0.2500 0.7524 0.7476
Cl 0.2500 0.9976 0.5024
Cl 0.5024 0.2500 0.9976
Cl 0.5024 0.7524 0.5048
Cl 0.5048 0.5024 0.7524
Cl 0.7476 0.2500 0.7524
Cl 0.7476 0.9976 0.9952
Cl 0.7524 0.5048 0.5024
Cl 0.7524 0.7476 0.2500
Cl 0.9952 0.7476 0.9976
Cl 0.9976 0.5024 0.2500
Cl 0.9976 0.9952 0.7476

Largest 6 diffraction maxima, by angle, 10 to 90 degrees two-theta:
d 8.266, intensity 49.2; d 3.375, intensity 56.9; d 3.124, intensity 40.3; d 2.922, intensity 100.0; d 2.066, intensity 67.7; d 1.307, intensity 24.5

=====

Record 6
This entry pairs a crystal structure of Ce6Ir5 with its computed powder XRD pattern. Radiation: a wavelength of 1.5418 Å. Structure: a structure optimized by DFT (PBE).
No peak broadening, texture or thermal motion is included.

Unit cell a=6.9656 b=6.9656 c=6.9920 alpha=99.31 beta=99.31 gamma=119.60
Fractional coordinates of all 11 atoms:
Ce 0.0655 0.4119 0.7380
Ce 0.2362 0.2362 0.2445
Ce 0.4119 0.0655 0.7380
Ce 0.5881 0.9345 0.2620
Ce 0.7638 0.7638 0.7555
Ce 0.9345 0.5881 0.2620
Ir 0.0000 0.0000 0.5000
Ir 0.1699 0.8301 0.0000
Ir 0.3442 0.6558 0.5000
Ir 0.6558 0.3442 0.5000
Ir 0.8301 0.1699 0.0000

Largest 6 diffraction maxima, by angle, 10 to 90 degrees two-theta:
d 2.860, intensity 100.0; d 2.845, intensity 50.4; d 2.039, intensity 18.9; d 2.017, intensity 74.0; d 2.007, intensity 17.6; d 1.640, intensity 18.6